# NdW2O8
Computed powder XRD pattern, Cu Kα, 1.54184 Å. Input: the PBE+U geometry in Alexandria.
Lines closer than 0.1° are merged.

Crystal structure
Lattice parameters (Å, degrees): 6.717 6.717 6.717 137.55 137.55 61.59
Fractional coordinates of all 11 atoms:
Nd (0.000, 0.000, 0.000)
W (0.250, 0.750, 0.500)
W (0.750, 0.250, 0.500)
O (0.101, 0.101, 0.499)
O (0.101, 0.602, 0.000)
O (0.398, 0.398, 0.499)
O (0.398, 0.899, 0.000)
O (0.602, 0.101, 0.000)
O (0.602, 0.602, 0.501)
O (0.899, 0.398, 0.000)
O (0.899, 0.899, 0.501)

Top 8 peaks for 10 to 90 degrees two-theta, in order of falling intensity:
- 2θ 30.26, rel. 100
- 2θ 48.99, rel. 38
- 2θ 15.36, rel. 33
- 2θ 62.50, rel. 26
- 2θ 19.81, rel. 23
- 2θ 54.68, rel. 19
- 2θ 36.97, rel. 16
- 2θ 53.28, rel. 15